No. 1
Structure and computed powder diffraction line list of Y2Pd3Au4 (the GGA-PBE geometry in Alexandria; a wavelength of 1.5418 Å).
No peak broadening, texture or thermal motion is included.

The 10 most intense peaks (2θ from 5° to 70°), sorted by position:
d (Å)	I_rel
4.756	11
3.292	11
2.452	100
2.424	98
2.179	36
2.128	34
2.034	28
1.522	23
1.500	10
1.470	20

Crystal structure
Unit cell a=9.6829 b=4.2551 c=8.8674 alpha=90.00 beta=111.67 gamma=90.00
Space group C2/m (No. 12)
One atom of each set of equivalent atoms:
Y: 0.1741 0.0000 0.2324 x4
Pd: 0.0000 0.5000 0.0000 x2
Pd: 0.1597 0.0000 0.5546 x4
Au: 0.0099 0.5000 0.3394 x4
Au: 0.1633 0.0000 0.8876 x4

***

No. 2
Structure and computed powder diffraction line list of Zn6PdAu (the GGA-PBE geometry in Alexandria; a wavelength of 1.5418 Å).
No peak broadening, texture or thermal motion is included.

The 10 most intense peaks (2θ from 5° to 70°), sorted by position:
d (Å)	I_rel
5.515	13
4.389	4
3.328	8
2.850	13
2.392	34
2.317	33
2.123	100
2.087	4
1.664	22
1.379	6

Crystal structure
Unit cell a=12.0154 b=4.6333 c=4.7848 alpha=90.00 beta=113.37 gamma=90.00
Space group C2/m (No. 12)
One atom of each set of equivalent atoms:
Zn: 0.1257 0.0000 0.1451 x4
Zn: 0.1265 0.5000 0.6007 x4
Zn: 0.2446 0.5000 0.2045 x4
Pd: 0.0000 0.5000 0.0000 x2
Au: 0.0000 0.0000 0.5000 x2

***

No. 3
Structure and computed powder diffraction line list of Zn2Pd2Au (the GGA-PBE geometry in Alexandria; a wavelength of 1.5418 Å).
No peak broadening, texture or thermal motion is included.

The 10 most intense peaks (2θ from 5° to 70°), sorted by position:
d (Å)	I_rel
2.581	24
2.542	37
2.308	100
2.281	38
2.177	80
1.934	12
1.811	16
1.632	17
1.482	14
1.461	11

Crystal structure
Unit cell a=7.2989 b=7.2989 c=2.9214 alpha=90.00 beta=90.00 gamma=90.00
Space group P4/mbm (No. 127)
One atom of each set of equivalent atoms:
Zn: 0.1410 0.3590 0.0000 x4
Pd: 0.1549 0.6549 0.5000 x4
Au: 0.0000 0.0000 0.0000 x2

***

No. 4
Structure and computed powder diffraction line list of Zn6PdAu3 (the GGA-PBE geometry in Alexandria; a wavelength of 1.5418 Å).
No peak broadening, texture or thermal motion is included.

The 10 most intense peaks (2θ from 5° to 70°), sorted by position:
d (Å)	I_rel
3.295	45
2.876	25
2.478	14
2.410	41
2.258	66
2.173	100
2.160	96
2.126	51
1.648	26
1.437	18

Crystal structure
Unit cell a=7.4708 b=4.5169 c=9.9173 alpha=90.00 beta=110.76 gamma=90.00
Space group P2_1/m (No. 11)
One atom of each set of equivalent atoms:
Zn: 0.0015 0.2500 0.3243 x2
Zn: 0.0023 0.7500 0.1669 x2
Zn: 0.1988 0.2500 0.1401 x2
Zn: 0.2264 0.7500 0.4764 x2
Zn: 0.3923 0.2500 0.9287 x2
Zn: 0.4189 0.7500 0.2879 x2
Pd: 0.3822 0.2500 0.4251 x2
Au: 0.1669 0.2500 0.6242 x2
Au: 0.2029 0.7500 0.9812 x2
Au: 0.4136 0.7500 0.7755 x2

***

No. 5
Structure and computed powder diffraction line list of Zn2Pd5Au (the GGA-PBE geometry in Alexandria; a wavelength of 1.5418 Å).
No peak broadening, texture or thermal motion is included.

The 10 most intense peaks (2θ from 5° to 70°), sorted by position:
d (Å)	I_rel
5.551	2
4.959	3
3.985	4
3.106	3
2.773	3
2.276	100
1.992	17
1.961	32
1.398	20
1.387	10

Crystal structure
Unit cell a=5.5434 b=11.1011 c=3.9847 alpha=90.00 beta=90.00 gamma=90.00
Space group Pbam (No. 55)
One atom of each set of equivalent atoms:
Zn: 0.2347 0.1290 0.0000 x4
Pd: 0.0000 0.0000 0.5000 x2
Pd: 0.0131 0.7495 0.5000 x4
Pd: 0.2444 0.3742 0.0000 x4
Au: 0.0000 0.5000 0.5000 x2

***

No. 6
Structure and computed powder diffraction line list of ZnPd2Au8 (the GGA-PBE geometry in Alexandria; a wavelength of 1.5418 Å).
No peak broadening, texture or thermal motion is included.

The 10 most intense peaks (2θ from 5° to 70°), sorted by position:
d (Å)	I_rel
4.128	2
3.516	2
3.475	3
2.440	2
2.366	100
2.066	34
2.015	16
1.461	11
1.444	5
1.442	16

Crystal structure
Unit cell a=14.6625 b=4.1304 c=6.5163 alpha=90.00 beta=106.43 gamma=90.00
Space group C2/m (No. 12)
One atom of each set of equivalent atoms:
Zn: 0.0000 0.0000 0.0000 x2
Pd: 0.2260 0.5000 0.6359 x4
Au: 0.0454 0.5000 0.7314 x4
Au: 0.0928 0.0000 0.4486 x4
Au: 0.1367 0.5000 0.1839 x4
Au: 0.1805 0.0000 0.9107 x4

***

No. 7
Structure and computed powder diffraction line list of Zn2PdAu4 (the GGA-PBE geometry in Alexandria; a wavelength of 1.5418 Å).
No peak broadening, texture or thermal motion is included.

The 10 most intense peaks (2θ from 5° to 70°), sorted by position:
d (Å)	I_rel
3.239	19
3.220	45
2.516	62
2.491	100
2.120	36
2.111	58
2.106	58
1.620	22
1.610	29
1.544	15

Crystal structure
Unit cell a=7.8726 b=7.8726 c=7.9659 alpha=90.00 beta=90.00 gamma=90.00
Space group I-42d (No. 122)
One atom of each set of equivalent atoms:
Zn: 0.1335 0.2500 0.1250 x8
Pd: 0.0000 0.0000 0.5000 x4
Au: 0.0830 0.1632 0.8014 x16

***

No. 8
Structure and computed powder diffraction line list of Zn6Pd2Au (the GGA-PBE geometry in Alexandria; a wavelength of 1.5418 Å).
No peak broadening, texture or thermal motion is included.

The 10 most intense peaks (2θ from 5° to 70°), sorted by position:
d (Å)	I_rel
5.583	8
3.854	36
2.660	72
2.262	48
2.158	77
2.018	100
1.841	7
1.723	39
1.464	11
1.427	16

Crystal structure
Unit cell a=4.5233 b=7.3655 c=8.5592 alpha=90.00 beta=90.00 gamma=90.00
Space group Immm (No. 71)
One atom of each set of equivalent atoms:
Zn: 0.0000 0.1847 0.1708 x8
Zn: 0.0000 0.1955 0.5000 x4
Pd: 0.0000 0.5000 0.3336 x4
Au: 0.0000 0.5000 0.0000 x2

***

No. 9
Structure and computed powder diffraction line list of Zn2Pd7Au (the GGA-PBE geometry in Alexandria; a wavelength of 1.5418 Å).
No peak broadening, texture or thermal motion is included.

The 10 most intense peaks (2θ from 5° to 70°), sorted by position:
d (Å)	I_rel
6.284	63
3.620	23
3.510	50
2.751	36
2.532	47
2.381	62
2.116	48
2.079	100
2.068	75
1.581	38

Crystal structure
Unit cell a=7.2401 b=12.6413 c=4.2318 alpha=90.00 beta=90.00 gamma=90.00
Space group Cmmm (No. 65)
One atom of each set of equivalent atoms:
Zn: 0.0000 0.1966 0.0000 x4
Pd: 0.0000 0.0000 0.0000 x2
Pd: 0.0000 0.2891 0.5000 x4
Pd: 0.1860 0.3873 0.0000 x8
Au: 0.0000 0.5000 0.5000 x2

***

No. 10
Structure and computed powder diffraction line list of ZnPd7Au12 (the GGA-PBE geometry in Alexandria; a wavelength of 1.5418 Å).
No peak broadening, texture or thermal motion is included.

The 10 most intense peaks (2θ from 5° to 70°), sorted by position:
d (Å)	I_rel
3.469	13
2.873	11
2.730	9
2.541	39
2.271	100
2.180	52
2.050	34
1.765	11
1.432	20
1.402	10

Crystal structure
Unit cell a=12.0166 b=12.0166 c=8.4105 alpha=90.00 beta=90.00 gamma=120.00
Space group R-3 (No. 148, hexagonal axes)
One atom of each set of equivalent atoms:
Zn: 0.0000 0.0000 0.0000 x3
Pd: 0.0000 0.0000 0.5000 x3
Pd: 0.0616 0.2355 0.9184 x18
Au: 0.0523 0.2139 0.2502 x18
Au: 0.0553 0.2459 0.5836 x18

***

No. 11
Structure and computed powder diffraction line list of Zn7Pd2Au2 (the GGA-PBE geometry in Alexandria; a wavelength of 1.5418 Å).
No peak broadening, texture or thermal motion is included.

The 10 most intense peaks (2θ from 5° to 70°), sorted by position:
d (Å)	I_rel
4.661	30
3.614	29
3.030	56
2.559	42
2.435	27
2.352	86
2.236	45
2.203	100
1.968	49
1.935	85

Crystal structure
Unit cell a=9.5326 b=7.9771 c=4.7217 alpha=90.00 beta=99.23 gamma=90.00
Space group C2/m (No. 12)
One atom of each set of equivalent atoms:
Zn: 0.0000 0.0000 0.0000 x2
Zn: 0.0327 0.5000 0.7637 x4
Zn: 0.2352 0.1729 0.2513 x8
Pd: 0.2430 0.5000 0.2147 x4
Au: 0.0000 0.1905 0.5000 x4

***

No. 12
Structure and computed powder diffraction line list of ZnPdAu5 (the GGA-PBE geometry in Alexandria; a wavelength of 1.5418 Å).
No peak broadening, texture or thermal motion is included.

The 10 most intense peaks (2θ from 5° to 70°), sorted by position:
d (Å)	I_rel
4.057	42
2.637	76
2.369	58
2.290	100
2.081	51
2.028	50
1.797	25
1.730	22
1.369	16
1.352	19

Crystal structure
Unit cell a=9.8167 b=7.8466 c=7.1929 alpha=90.00 beta=109.92 gamma=90.00
Space group C2/c (No. 15)
One atom of each set of equivalent atoms:
Zn: 0.2500 0.2500 0.0000 x4
Pd: 0.0000 0.2223 0.2500 x4
Au: 0.0000 0.4183 0.7500 x4
Au: 0.0978 0.0993 0.6465 x8
Au: 0.2062 0.4133 0.5574 x8